Simulated PXRD pattern of RbPuVF6 for a wavelength of 1.5418 Å, from a structure optimized by DFT (PBE+U).
Lines closer than 0.1° are merged.

```
18
Lattice="-3.7404 3.9538 5.3333 3.7404 -3.9538 5.3333 3.7404 3.9538 -5.3333" Properties=species:S:1:pos:R:3 pbc="T T T"
Rb 0.0000 1.9769 0.9262
Rb 3.7404 1.9769 4.4071
Pu 3.7404 0.0000 0.0000
Pu 0.0000 0.0000 5.3333
V 1.8702 1.9769 -2.6666
V 1.8702 -1.9769 2.6666
F 1.7398 -0.4423 1.2307
F 5.7411 -0.4423 1.2307
F 3.7404 1.9769 -1.6947
F 1.7398 3.5114 -1.2307
F 2.0007 -0.4423 4.1026
F 3.7404 1.9769 1.2102
F 0.0000 1.9769 4.1230
F 1.7398 4.3961 1.2307
F 2.0007 0.4423 6.5640
F 0.0000 1.9769 7.0280
F -2.0007 4.3961 4.1026
F 2.0007 4.3961 4.1026
```

Peak list (10 most intense, 15° ≤ 2θ ≤ 90°, in order of rising 2θ)
2θ 16.62, I = 50.9; 2θ 23.79, I = 23.0; 2θ 26.84, I = 100.0; 2θ 27.78, I = 27.2; 2θ 28.09, I = 38.9; 2θ 29.16, I = 51.2; 2θ 36.03, I = 42.2; 2θ 43.75, I = 31.8; 2θ 47.79, I = 47.8; 2θ 56.79, I = 19.1